Starting from the GGA-PBE geometry in Alexandria, the powder diffraction line list of Th3Bi4Pt3 was simulated for Cu Kα, 1.54184 Å.

Structural model:
```
Th3Bi4Pt3
1.0
-5.0656 5.0656 5.0656
5.0656 -5.0656 5.0656
5.0656 5.0656 -5.0656
Th Bi Pt
6 8 6
Cartesian
7.5984 1.2664 0.0000
3.7992 0.0000 2.5328
2.5328 3.7992 0.0000
0.0000 2.5328 3.7992
1.2664 0.0000 7.5984
0.0000 7.5984 1.2664
4.1638 0.9019 -0.9019
6.6966 -1.6310 1.6310
0.9019 0.9019 0.9019
0.9019 -0.9019 4.1638
-0.9019 4.1638 0.9019
1.6310 6.6966 -1.6310
3.4347 3.4347 3.4347
-1.6310 1.6310 6.6966
5.0656 -2.5328 3.7992
3.7992 5.0656 -2.5328
5.0656 2.5328 1.2664
2.5328 1.2664 5.0656
1.2664 5.0656 2.5328
-2.5328 3.7992 5.0656
```

Largest 8 diffraction maxima, by angle, 2θ = 10–90°:
- 2θ = 27.85°, rel. 18
- 2θ = 33.08°, rel. 100
- 2θ = 39.79°, rel. 36
- 2θ = 43.77°, rel. 15
- 2θ = 49.26°, rel. 14
- 2θ = 57.54°, rel. 11
- 2θ = 62.14°, rel. 11
- 2θ = 63.63°, rel. 10